# KNiH9C2O10
Theoretical XRD peak list, Cu Kα (weighted mean of Kα1 and Kα2). Input: a DFT-relaxed cell (PBE+U, Alexandria).

Main lines, by intensity (2θ from 10° to 90°):
d/Å	two_theta	I/Imax	index
3.540	25.15	100	0 1 1
4.310	20.61	98	1 0 -1
3.419	26.06	85	-1 1 1
3.134	28.48	72	1 -2 1
2.158	41.85	69	2 1 -1
2.915	30.67	68	1 -1 2
5.044	17.58	68	1 0 0
2.396	37.54	60	-1 1 2
2.088	43.34	54	2 -2 2
5.708	15.53	53	0 1 0

Structure:
```
data_KNiH9C2O10
_cell_length_a 5.355
_cell_length_b 6.661
_cell_length_c 7.082
_cell_angle_alpha 114.54
_cell_angle_beta 91.09
_cell_angle_gamma 107.31
_symmetry_space_group_name_H-M 'P 1'
_symmetry_Int_Tables_number 1
_symmetry_space_group_name_Hall 'P 1'
loop_
_atom_site_label
_atom_site_type_symbol
_atom_site_fract_x
_atom_site_fract_y
_atom_site_fract_z
_atom_site_occupancy
K1 K 0.000 0.000 0.000 1
Ni1 Ni 0.500 0.500 0.500 1
H1 H 0.000 0.500 0.000 1
H2 H 0.009 0.334 0.576 1
H3 H 0.208 0.203 0.598 1
H4 H 0.364 0.735 0.868 1
H5 H 0.428 0.907 0.753 1
H6 H 0.572 0.093 0.247 1
H7 H 0.636 0.265 0.132 1
H8 H 0.792 0.797 0.402 1
H9 H 0.991 0.666 0.424 1
C1 C 0.366 0.697 0.207 1
C2 C 0.634 0.303 0.793 1
O1 O 0.144 0.267 0.508 1
O2 O 0.199 0.669 0.049 1
O3 O 0.279 0.573 0.307 1
O4 O 0.399 0.155 0.750 1
O5 O 0.471 0.778 0.768 1
O6 O 0.529 0.222 0.232 1
O7 O 0.601 0.845 0.250 1
O8 O 0.721 0.427 0.693 1
O9 O 0.801 0.331 0.951 1
O10 O 0.856 0.733 0.492 1
```